Diffraction record for Sr2CaCrN4. The powder diffraction line list is simulated, not measured: it uses a crystal structure in Alexandria, relaxed with GGA-PBE and Cu Kα (λ = 1.5418 Å).

Largest 10 diffraction maxima, by angle, 5 to 70 degrees two-theta:
26.2 deg, rel. 27; 27.0 deg, rel. 45; 30.9 deg, rel. 46; 31.5 deg, rel. 100; 32.5 deg, rel. 49; 42.7 deg, rel. 19; 46.8 deg, rel. 32; 57.3 deg, rel. 21; 58.1 deg, rel. 27; 58.3 deg, rel. 16

Structural model:
```
Sr2CaCrN4
1.0
7.5705 0.0000 0.0000
0.0000 6.7910 0.0000
0.0000 0.0000 5.5151
Sr Ca Cr N
4 2 2 8
direct
0.2440 0.1779 0.0000
0.2560 0.8221 0.5000
0.7440 0.8221 0.5000
0.7560 0.1779 0.0000
0.0000 0.3637 0.5074
0.5000 0.6363 0.0074
0.0000 0.6738 0.0400
0.5000 0.3262 0.5400
0.0000 0.4262 0.9393
0.0000 0.6651 0.3526
0.2015 0.8008 0.9663
0.2985 0.1992 0.4663
0.5000 0.3349 0.8526
0.5000 0.5738 0.4393
0.7015 0.1992 0.4663
0.7985 0.8008 0.9663
```

---

Diffraction record for CaAl10Cu2. The powder diffraction line list is simulated, not measured: it uses a crystal structure in Alexandria, relaxed with GGA-PBE and Cu Kα (λ = 1.5418 Å).

Largest 10 diffraction maxima, by angle, 5 to 70 degrees two-theta:
13.1 deg, rel. 50; 14.2 deg, rel. 29; 19.4 deg, rel. 51; 34.0 deg, rel. 28; 38.1 deg, rel. 34; 39.3 deg, rel. 79; 39.6 deg, rel. 100; 40.7 deg, rel. 27; 43.7 deg, rel. 46; 45.2 deg, rel. 38

Structural model:
```
CaAl10Cu2
1.0
0.0000 6.2214 6.7656
2.6231 0.0000 6.7656
2.6231 6.2214 0.0000
Ca Al Cu
1 10 2
direct
0.0000 0.0000 0.0000
0.0000 0.0000 0.5000
0.0071 0.3512 0.6488
0.2722 0.4904 0.5096
0.3512 0.0071 0.9929
0.4904 0.2722 0.7278
0.5000 0.5000 0.0000
0.5096 0.7278 0.2722
0.6488 0.9929 0.0071
0.7278 0.5096 0.4904
0.9929 0.6488 0.3512
0.0000 0.5000 0.0000
0.5000 0.0000 0.5000
```